# 1
For VFe2BO5, a PBE+U-relaxed structure gives the calculated PXRD pattern in this record (copper Kα).
Kinematic intensities with the Lorentz-polarization factor, no thermal factor.

Largest 10 diffraction maxima, low angle first, 2θ = 10–90°:
Position (°2θ)	d_spacing	I_rel	hkl
16.90	5.247	42	1 2 0
18.39	4.825	25	2 0 0
34.18	2.623	100	2 4 0
34.33	2.612	81	2 0 1
37.28	2.412	65	4 0 0
41.00	2.201	37	0 4 1
42.98	2.104	28	3 2 1
46.09	1.970	40	3 3 1
56.55	1.627	34	4 4 1
60.56	1.529	36	1 7 1

abc: 9.649 12.503 3.107
angles: 90.00 90.00 90.00
Space group Pbam (No. 55)
One atom of each set of equivalent atoms:
1 V 0.245 0.113 0.000 x4
2 Fe 0.000 0.000 0.500 x2
3 Fe 0.000 0.500 0.000 x2
4 Fe 0.001 0.276 0.500 x4
5 B 0.230 0.862 0.000 x4
6 O 0.113 0.140 0.500 x4
7 O 0.117 0.583 0.500 x4
8 O 0.126 0.361 0.000 x4
9 O 0.156 0.957 0.000 x4
10 O 0.158 0.765 0.000 x4

# 2
For Li5Fe3Sb2O10, a PBE+U-relaxed structure gives the calculated PXRD pattern in this record (copper Kα).
Kinematic intensities with the Lorentz-polarization factor, no thermal factor.

Largest 10 diffraction maxima, low angle first, 2θ = 10–90°:
Position (°2θ)	d_spacing	I_rel	hkl
17.33	5.118	49	1 1 1
17.65	5.025	100	1 -1 0
21.84	4.070	32	0 2 0
25.47	3.498	25	1 -1 2
33.49	2.675	26	1 1 3
33.98	2.638	19	0 2 -2
40.62	2.221	47	0 2 3
40.93	2.205	45	3 1 1
41.70	2.166	43	1 -3 2
59.34	1.557	26	2 4 -1

abc: 6.929 8.176 8.270
angles: 84.67 65.48 88.67
Space group P1 (No. 1)
One atom of each set of equivalent atoms:
1 Li 0.000 0.000 0.000 x1
2 Li 0.031 0.552 0.308 x1
3 Li 0.082 0.105 0.624 x1
4 Li 0.207 0.226 0.207 x1
5 Li 0.384 0.379 0.403 x1
6 Li 0.488 0.487 0.993 x1
7 Li 0.544 0.049 0.302 x1
8 Li 0.592 0.589 0.591 x1
9 Li 0.707 0.717 0.205 x1
10 Li 0.890 0.891 0.390 x1
11 Fe 0.144 0.643 0.906 x1
12 Fe 0.293 0.298 0.806 x1
13 Fe 0.446 0.946 0.696 x1
14 Fe 0.634 0.147 0.917 x1
15 Fe 0.792 0.799 0.797 x1
16 Fe 0.949 0.449 0.693 x1
17 Sb 0.248 0.746 0.499 x1
18 Sb 0.338 0.846 0.102 x1
19 Sb 0.748 0.247 0.507 x1
20 Sb 0.832 0.351 0.099 x1
21 O 0.041 0.780 0.144 x1
22 O 0.046 0.310 0.468 x1
23 O 0.130 0.865 0.725 x1
24 O 0.198 0.424 0.024 x1
25 O 0.233 0.951 0.339 x1
26 O 0.269 0.535 0.634 x1
27 O 0.316 0.052 0.957 x1
28 O 0.361 0.641 0.261 x1
29 O 0.439 0.185 0.566 x1
30 O 0.456 0.730 0.876 x1
31 O 0.521 0.268 0.147 x1
32 O 0.540 0.817 0.465 x1
33 O 0.633 0.362 0.736 x1
34 O 0.639 0.909 0.053 x1
35 O 0.721 0.462 0.380 x1
36 O 0.757 0.034 0.662 x1
37 O 0.831 0.580 0.922 x1
38 O 0.847 0.123 0.289 x1
39 O 0.949 0.689 0.543 x1
40 O 0.967 0.215 0.862 x1

# 3
For Li7NiO4F2, a PBE+U-relaxed structure gives the calculated PXRD pattern in this record (copper Kα).
Kinematic intensities with the Lorentz-polarization factor, no thermal factor.

Largest 10 diffraction maxima, low angle first, 2θ = 10–90°:
Position (°2θ)	d_spacing	I_rel	hkl
18.09	4.904	48	1 0 0
18.53	4.787	34	0 0 1
19.30	4.599	51	0 1 -1
20.45	4.344	100	0 1 0
22.55	3.943	39	1 0 -1
23.27	3.823	31	1 -1 1
33.01	2.713	71	1 1 0
39.01	2.309	30	-2 1 1
39.24	2.296	30	1 -2 2
54.70	1.678	33	3 0 -1

abc: 5.465 5.471 5.577
angles: 117.69 91.44 112.24
Space group P1 (No. 1)
One atom of each set of equivalent atoms:
1 Li 0.000 0.000 0.000 x1
2 Li 0.058 0.589 0.405 x1
3 Li 0.319 0.625 0.057 x1
4 Li 0.400 0.147 0.369 x1
5 Li 0.575 0.280 0.000 x1
6 Li 0.756 0.852 0.340 x1
7 Li 0.880 0.458 0.724 x1
8 Ni 0.512 0.724 0.686 x1
9 O 0.285 0.872 0.920 x1
10 O 0.438 0.870 0.469 x1
11 O 0.641 0.632 0.929 x1
12 O 0.700 0.536 0.437 x1
13 F 0.062 0.214 0.411 x1
14 F 0.961 0.323 0.981 x1

# 4
For Y2Cr2O7, a PBE+U-relaxed structure gives the calculated PXRD pattern in this record (copper Kα).
Kinematic intensities with the Lorentz-polarization factor, no thermal factor.

Largest 10 diffraction maxima, low angle first, 2θ = 10–90°:
Position (°2θ)	d_spacing	I_rel	hkl
30.57	2.924	34	0 0 2
30.75	2.907	100	2 2 0
35.60	2.522	29	0 2 0
51.12	1.787	34	0 2 4
51.35	1.779	34	4 2 0
60.71	1.525	9	2 2 4
60.84	1.522	9	2 0 -4
60.98	1.519	25	0 4 2
61.08	1.517	8	4 0 -2
83.78	1.155	10	-4 2 2

abc: 7.114 7.118 7.144
angles: 60.13 89.93 60.02
Space group P-1 (No. 2)
One atom of each set of equivalent atoms:
1 Y 0.000 0.000 0.000 x1
2 Y 0.000 0.000 0.500 x1
3 Y 0.000 0.500 0.000 x1
4 Y 0.500 0.500 0.000 x1
5 Cr 0.000 0.500 0.500 x1
6 Cr 0.500 0.000 0.000 x1
7 Cr 0.500 0.000 0.500 x1
8 Cr 0.500 0.500 0.500 x1
9 O 0.125 0.752 0.873 x2
10 O 0.166 0.254 0.423 x2
11 O 0.173 0.249 0.833 x2
12 O 0.174 0.657 0.414 x2
13 O 0.418 0.157 0.178 x2
14 O 0.418 0.752 0.576 x2
15 O 0.426 0.747 0.166 x2

# 5
For Fe10OF19, a PBE+U-relaxed structure gives the calculated PXRD pattern in this record (copper Kα).
Kinematic intensities with the Lorentz-polarization factor, no thermal factor.

Largest 10 diffraction maxima, low angle first, 2θ = 10–90°:
Position (°2θ)	d_spacing	I_rel	hkl
26.18	3.404	85	1 1 2
26.43	3.372	82	-1 1 2
32.92	2.721	100	0 3 1
37.94	2.371	19	1 3 1
38.13	2.360	19	1 1 -3
50.63	1.803	60	2 3 1
50.93	1.793	55	2 1 -3
53.86	1.702	17	2 2 4
55.61	1.653	20	0 4 -2
64.84	1.438	41	0 5 5

abc: 4.792 8.165 10.134
angles: 73.09 89.48 89.68
Space group P1 (No. 1)
One atom of each set of equivalent atoms:
1 Fe 0.000 0.000 0.000 x1
2 Fe 0.000 0.386 0.807 x1
3 Fe 0.463 0.100 0.718 x1
4 Fe 0.484 0.294 0.107 x1
5 Fe 0.485 0.495 0.507 x1
6 Fe 0.487 0.895 0.306 x1
7 Fe 0.488 0.694 0.907 x1
8 Fe 0.980 0.797 0.608 x1
9 Fe 0.981 0.193 0.409 x1
10 Fe 0.985 0.596 0.207 x1
11 O 0.192 0.154 0.824 x1
12 F 0.183 0.955 0.429 x1
13 F 0.185 0.355 0.230 x1
14 F 0.185 0.557 0.626 x1
15 F 0.186 0.754 0.027 x1
16 F 0.285 0.054 0.131 x1
17 F 0.285 0.655 0.328 x1
18 F 0.286 0.458 0.929 x1
19 F 0.293 0.246 0.532 x1
20 F 0.294 0.864 0.722 x1
21 F 0.681 0.326 0.687 x1
22 F 0.681 0.940 0.879 x1
23 F 0.684 0.135 0.288 x1
24 F 0.685 0.535 0.088 x1
25 F 0.685 0.735 0.487 x1
26 F 0.771 0.037 0.593 x1
27 F 0.784 0.235 0.988 x1
28 F 0.787 0.434 0.389 x1
29 F 0.788 0.633 0.787 x1
30 F 0.788 0.837 0.184 x1

# 6
For MgMn4O8, a PBE+U-relaxed structure gives the calculated PXRD pattern in this record (copper Kα).
Kinematic intensities with the Lorentz-polarization factor, no thermal factor.

Largest 10 diffraction maxima, low angle first, 2θ = 10–90°:
Position (°2θ)	d_spacing	I_rel	hkl
17.87	4.963	100	0 0 3
18.16	4.886	9	1 0 1
35.22	2.548	32	0 2 1
36.79	2.443	12	2 0 2
42.57	2.124	69	0 2 4
46.51	1.953	8	2 0 5
55.98	1.643	15	0 2 7
61.37	1.511	17	2 0 8
62.17	1.493	19	2 2 0
65.26	1.430	13	2 2 3

abc: 5.9723 5.9723 14.8892
angles: 90.00 90.00 120.00
Space group R-3m (No. 166, hexagonal axes)
One atom of each set of equivalent atoms:
1 Mg 0.0000 0.0000 0.0000 x3
2 Mn 0.0000 0.0000 0.5000 x3
3 Mn 0.0000 0.5000 0.5000 x9
4 O 0.0000 0.0000 0.2319 x6
5 O 0.0332 0.5166 0.7638 x18

# 7
For WOF3, a PBE+U-relaxed structure gives the calculated PXRD pattern in this record (copper Kα).
Kinematic intensities with the Lorentz-polarization factor, no thermal factor.

Largest 10 diffraction maxima, low angle first, 2θ = 10–90°:
Position (°2θ)	d_spacing	I_rel	hkl
18.47	4.804	43	0 1 1
18.63	4.763	34	1 0 1
22.76	3.908	42	1 1 0
24.60	3.619	100	0 1 2
24.71	3.603	56	1 0 2
29.54	3.024	21	1 1 2
32.48	2.756	19	1 0 3
33.95	2.640	19	2 0 1
46.63	1.948	20	2 1 3
50.47	1.808	23	2 2 2

abc: 5.495 5.558 9.546
angles: 90.00 90.00 90.00
Space group P2_12_12_1 (No. 19)
One atom of each set of equivalent atoms:
1 W 0.140 0.115 0.114 x4
2 O 0.129 0.705 0.490 x4
3 F 0.068 0.423 0.242 x4
4 F 0.101 0.931 0.744 x4
5 F 0.217 0.819 0.024 x4

# 8
For VPbOF5, a PBE+U-relaxed structure gives the calculated PXRD pattern in this record (copper Kα).
Kinematic intensities with the Lorentz-polarization factor, no thermal factor.

Largest 10 diffraction maxima, low angle first, 2θ = 10–90°:
Position (°2θ)	d_spacing	I_rel	hkl
17.63	5.030	20	1 0 0
17.75	4.996	23	0 2 0
18.70	4.744	15	0 0 2
25.12	3.545	44	1 2 0
25.86	3.445	100	0 2 2
27.34	3.262	13	1 1 2
31.51	2.840	20	1 2 2
42.15	2.144	17	1 0 4
44.79	2.024	19	1 4 2
46.04	1.971	31	1 2 4

abc: 5.030 9.993 9.488
angles: 90.00 90.00 90.00
Space group Pbcm (No. 57)
One atom of each set of equivalent atoms:
1 V 0.107 0.052 0.250 x4
2 Pb 0.447 0.750 0.000 x4
3 O 0.136 0.052 0.750 x4
4 F 0.019 0.670 0.113 x8
5 F 0.316 0.530 0.611 x8
6 F 0.436 0.190 0.250 x4